RbLaCl4: simulated XRD peak list (copper Kα), based on a DFT-relaxed cell (GGA-PBE, Alexandria).
Kinematic intensities with the Lorentz-polarization factor, no thermal factor.

Structural model:
abc: 7.8033 4.4623 19.8026
angles: 90.00 90.00 90.00
Space group Pnma (No. 62)
Unique sites:
Rb (0.2180, 0.2500, 0.2040) x4
La (0.2495, 0.7500, 0.4408) x4
Cl (0.0071, 0.2500, 0.0607) x4
Cl (0.0953, 0.2500, 0.8080) x4
Cl (0.0983, 0.2500, 0.3665) x4
Cl (0.1405, 0.2500, 0.5368) x4

Principal peaks in the range 2θ = 5–70°, most intense first:
index  Position (°2θ)  I (rel.)
2 1 3  33.4  1000
1 0 4  21.3  826
0 2 0  40.4  719
1 1 1  23.4  684
1 1 7  39.4  623
3 0 4  39.1  434
0 1 3  24.1  385
0 0 2  8.9  357
1 0 2  14.5  357
2 1 5  38.1  352